Calculated powder diffraction line list of Si23Ni3 for Cu Kα, from a cell relaxed with PBE.

Peak list (10 most intense, 10 to 90 degrees two-theta, sorted by position)
d [Å], intensity, (hkl)
3.200, 16, 3 1 0
2.922, 74, 2 2 2
2.807, 69, 3 2 0
2.705, 100, 3 2 1
2.530, 18, 4 0 0
2.455, 18, 4 1 0
1.736, 69, 5 3 0
1.711, 15, 5 3 1
1.687, 21, 6 0 0
1.642, 43, 5 3 2

Cell and atoms:
```
data_Si23Ni3
_chemical_formula_sum 'Si46 Ni6'
_space_group_name_H-M_alt 'P 1'
_space_group_IT_number 1
_cell_length_a 10.121
_cell_length_b 10.121
_cell_length_c 10.121
_cell_angle_alpha 90.00
_cell_angle_beta 90.00
_cell_angle_gamma 90.00
loop_
_space_group_symop_operation_xyz
'x,y,z'
loop_
_atom_site_label
_atom_site_type_symbol
_atom_site_fract_x
_atom_site_fract_y
_atom_site_fract_z
Si1 Si 0.000 0.116 0.311
Si2 Si 0.000 0.116 0.689
Si3 Si 0.000 0.250 0.500
Si4 Si 0.000 0.750 0.500
Si5 Si 0.000 0.884 0.311
Si6 Si 0.000 0.884 0.689
Si7 Si 0.116 0.311 0.000
Si8 Si 0.116 0.689 0.000
Si9 Si 0.184 0.184 0.184
Si10 Si 0.184 0.184 0.816
Si11 Si 0.184 0.816 0.184
Si12 Si 0.184 0.816 0.816
Si13 Si 0.189 0.384 0.500
Si14 Si 0.189 0.616 0.500
Si15 Si 0.250 0.500 0.000
Si16 Si 0.311 0.000 0.116
Si17 Si 0.311 0.000 0.884
Si18 Si 0.316 0.316 0.316
Si19 Si 0.316 0.316 0.684
Si20 Si 0.316 0.684 0.316
Si21 Si 0.316 0.684 0.684
Si22 Si 0.384 0.500 0.189
Si23 Si 0.384 0.500 0.811
Si24 Si 0.500 0.000 0.250
Si25 Si 0.500 0.000 0.750
Si26 Si 0.500 0.189 0.384
Si27 Si 0.500 0.189 0.616
Si28 Si 0.500 0.811 0.384
Si29 Si 0.500 0.811 0.616
Si30 Si 0.616 0.500 0.189
Si31 Si 0.616 0.500 0.811
Si32 Si 0.684 0.316 0.316
Si33 Si 0.684 0.316 0.684
Si34 Si 0.684 0.684 0.316
Si35 Si 0.684 0.684 0.684
Si36 Si 0.689 0.000 0.116
Si37 Si 0.689 0.000 0.884
Si38 Si 0.750 0.500 0.000
Si39 Si 0.811 0.384 0.500
Si40 Si 0.811 0.616 0.500
Si41 Si 0.816 0.184 0.184
Si42 Si 0.816 0.184 0.816
Si43 Si 0.816 0.816 0.184
Si44 Si 0.816 0.816 0.816
Si45 Si 0.884 0.311 0.000
Si46 Si 0.884 0.689 0.000
Ni1 Ni 0.000 0.500 0.250
Ni2 Ni 0.000 0.500 0.750
Ni3 Ni 0.250 0.000 0.500
Ni4 Ni 0.500 0.250 0.000
Ni5 Ni 0.500 0.750 0.000
Ni6 Ni 0.750 0.000 0.500
```